Computed XRD peak list of V4O3F9 for CuKα, from a structure optimized by DFT (GGA+U).

Principal peaks in the range 2θ from 5° to 70°, in order of rising 2θ:
2theta	intensity	index
19.95	13.4	0 1 0
20.78	18.6	1 1 0
22.64	100.0	1 0 -1
27.26	33.6	1 1 2
28.61	13.8	0 1 -2
29.66	22.6	1 1 -2
40.09	17.0	2 1 2
48.64	15.4	2 1 -3

Crystal structure
```
V4O3F9
1.0
4.9842 0.0000 0.0000
2.3459 4.4569 0.0000
0.6009 0.4857 9.2137
V O F
4 3 9
Cartesian
0.0000 0.0000 0.0000 V
1.9664 3.0046 6.9623 V
2.3621 1.6238 2.2553 V
4.5434 1.5083 4.5631 V
1.2531 1.6520 8.1617 O
1.8927 2.9283 1.3099 O
5.8855 1.5155 3.5278 O
1.5655 0.1520 1.2490 F
3.5535 3.3887 8.1059 F
3.0003 1.7422 5.8527 F
3.4749 2.7691 3.4904 F
3.3550 0.3382 3.5525 F
4.0109 1.2105 1.1882 F
5.3562 2.8300 5.8137 F
6.3170 4.4758 8.2186 F
7.4609 4.5210 5.7543 F
```